For CrMoS, a PBE-relaxed structure gives the simulated powder X-ray diffraction pattern in this record (Cu Ka).

The 6 most intense peaks (2θ from 10° to 90°), in order of rising 2θ:
hkl 1 1 0, 39.5 deg, I = 77
hkl 1 0 3, 39.9 deg, I = 100
hkl 1 1 1, 40.7 deg, I = 21
hkl 1 0 4, 47.6 deg, I = 39
hkl 2 0 0, 57.1 deg, I = 24
hkl 2 1 3, 72.0 deg, I = 32

Structural model:
abc: 3.2238 3.2238 9.4837
angles: 90.00 90.00 90.00
Space group P4/nmm (No. 129, origin choice 2)
Symmetry-distinct sites (fractional):
Cr 0.2500 0.2500 0.2501 [2 per cell]
Mo 0.2500 0.2500 0.5729 [2 per cell]
S 0.2500 0.2500 0.8346 [2 per cell]

=====

For Dy2Ga6Co9, a PBE-relaxed structure gives the simulated powder X-ray diffraction pattern in this record (Cu Ka).

The 6 most intense peaks (2θ from 10° to 90°), in order of rising 2θ:
hkl 1 0 3, 30.6 deg, I = 23
hkl 1 1 0, 35.1 deg, I = 31
hkl 2 0 0, 40.8 deg, I = 27
hkl 1 1 3, 42.3 deg, I = 100
hkl 0 0 6, 46.8 deg, I = 24
hkl 3 0 3, 68.0 deg, I = 23

Structural model:
abc: 5.1119 5.1119 11.6490
angles: 90.00 90.00 120.00
Space group P6/mmm (No. 191)
Symmetry-distinct sites (fractional):
Dy 0.0000 0.0000 0.1696 [2 per cell]
Ga 0.3333 0.6667 0.1635 [4 per cell]
Ga 0.3333 0.6667 0.5000 [2 per cell]
Co 0.0000 0.5000 0.0000 [3 per cell]
Co 0.0000 0.5000 0.3304 [6 per cell]

=====

For La2Zn7Sn, a PBE-relaxed structure gives the simulated powder X-ray diffraction pattern in this record (Cu Ka).

The 6 most intense peaks (2θ from 10° to 90°), in order of rising 2θ:
hkl 1 0 3, 32.4 deg, I = 48
hkl 1 1 2, 33.3 deg, I = 100
hkl 2 0 0, 40.9 deg, I = 55
hkl 1 0 5, 47.5 deg, I = 21
hkl 2 1 3, 53.1 deg, I = 23
hkl 3 1 2, 69.7 deg, I = 23

Structural model:
abc: 4.4128 4.4128 10.6232
angles: 90.00 90.00 90.00
Space group P-4m2 (No. 115)
Symmetry-distinct sites (fractional):
La 0.0000 0.5000 0.2374 [2 per cell]
Zn 0.0000 0.0000 0.0000 [1 per cell]
Zn 0.0000 0.5000 0.6480 [2 per cell]
Zn 0.0000 0.5000 0.8789 [2 per cell]
Zn 0.5000 0.5000 0.0000 [1 per cell]
Zn 0.5000 0.5000 0.5000 [1 per cell]
Sn 0.0000 0.0000 0.5000 [1 per cell]

=====

For PuInSn2Br8, a PBE-relaxed structure gives the simulated powder X-ray diffraction pattern in this record (Cu Ka).

The 6 most intense peaks (2θ from 10° to 90°), in order of rising 2θ:
hkl 1 0 -1, 17.6 deg, I = 100
hkl 1 0 1, 17.9 deg, I = 93
hkl 1 2 0, 23.4 deg, I = 81
hkl 1 2 1, 26.6 deg, I = 84
hkl 2 2 -1, 34.6 deg, I = 95
hkl 0 2 3, 42.5 deg, I = 80

Structural model:
abc: 6.9464 9.0937 7.2143
angles: 90.00 91.04 90.00
Space group P2/m (No. 10)
Symmetry-distinct sites (fractional):
Pu 0.0000 0.0000 0.0000 [1 per cell]
In 0.0000 0.5000 0.0000 [1 per cell]
Sn 0.5000 0.2535 0.5000 [2 per cell]
Br 0.2434 0.2251 0.1596 [4 per cell]
Br 0.2474 0.0000 0.6785 [2 per cell]
Br 0.2769 0.5000 0.6397 [2 per cell]

=====

For CdPCl2, a PBE-relaxed structure gives the simulated powder X-ray diffraction pattern in this record (Cu Ka).

The 6 most intense peaks (2θ from 10° to 90°), in order of rising 2θ:
hkl 0 0 1, 14.3 deg, I = 74
hkl 0 1 1, 23.9 deg, I = 100
hkl 1 0 1, 29.0 deg, I = 46
hkl 1 0 -2, 31.6 deg, I = 30
hkl 0 1 2, 34.9 deg, I = 31
hkl 1 1 2, 45.4 deg, I = 36

Structural model:
abc: 4.2385 4.6539 6.3831
angles: 90.00 104.58 90.00
Space group Pm (No. 6)
Symmetry-distinct sites (fractional):
Cd 0.0000 0.0000 0.0000 [1 per cell]
P 0.0563 0.5000 0.1801 [1 per cell]
Cl 0.4033 0.0000 0.7582 [1 per cell]
Cl 0.7223 0.5000 0.3661 [1 per cell]

=====

For Cu5GeTe4Br2, a PBE-relaxed structure gives the simulated powder X-ray diffraction pattern in this record (Cu Ka).

The 6 most intense peaks (2θ from 10° to 90°), in order of rising 2θ:
hkl 0 3 1, 26.2 deg, I = 100
hkl 2 1 1, 27.6 deg, I = 91
hkl 2 2 2, 39.4 deg, I = 69
hkl 0 6 0, 45.1 deg, I = 25
hkl 2 5 1, 46.3 deg, I = 33
hkl 2 4 2, 47.5 deg, I = 26

Structural model:
abc: 7.8999 12.0743 6.3379
angles: 90.00 90.00 90.00
Space group Amm2 (No. 38)
Symmetry-distinct sites (fractional):
Cu 0.0000 0.0000 0.0000 [2 per cell]
Cu 0.2774 0.1681 0.5285 [8 per cell]
Ge 0.5000 0.0000 0.0565 [2 per cell]
Te 0.2309 0.0000 0.2922 [4 per cell]
Te 0.5000 0.1871 0.8340 [4 per cell]
Br 0.0000 0.1634 0.7499 [4 per cell]